Record 1
Structure and calculated PXRD pattern of Rb2CdI2Br2 (a structure optimized by DFT (PBE); λ = 1.5418 Å (Cu Kα)).
Peak positions follow from Bragg's law for the DFT cell and can differ from measured ones.

Cell and atoms:
```
data_Rb2CdI2Br2
_chemical_formula_sum 'Rb8 Cd4 I8 Br8'
_space_group_name_H-M_alt 'A m a 2'
_space_group_IT_number 40
_cell_length_a 12.0101
_cell_length_b 12.1965
_cell_length_c 8.6061
_cell_angle_alpha 90.00
_cell_angle_beta 90.00
_cell_angle_gamma 90.00
loop_
_space_group_symop_operation_xyz
'x,y,z'
'-x,-y,z'
'-x+1/2,y,z'
'x+1/2,-y,z'
'x,y+1/2,z+1/2'
'-x,-y+1/2,z+1/2'
'-x+1/2,y+1/2,z+1/2'
'x+1/2,-y+1/2,z+1/2'
loop_
_atom_site_label
_atom_site_type_symbol
_atom_site_fract_x
_atom_site_fract_y
_atom_site_fract_z
_atom_site_occupancy
Rb1 Rb 0.0000 0.0000 0.0000 1
Rb2 Rb 0.2500 0.1781 0.4595 1
Cd1 Cd 0.2500 0.2742 0.9606 1
I1 I 0.0585 0.2885 0.1493 1
Br1 Br 0.2500 0.0775 0.8270 1
Br2 Br 0.2500 0.4230 0.7355 1
```

Main lines, by angle (10 to 80 degrees two-theta):
h k l  2θ (°)  I (rel.)
0 2 0  14.6  68
0 3 1  24.2  56
1 3 1  25.3  52
2 0 2  25.5  47
3 1 1  25.6  62
2 2 2  29.4  100
4 0 0  29.8  33
3 3 3  44.8  36

***

Record 2
Structure and calculated PXRD pattern of CdInBr3 (a structure optimized by DFT (PBE); λ = 1.5418 Å (Cu Kα)).
Peak positions follow from Bragg's law for the DFT cell and can differ from measured ones.

Cell and atoms:
```
data_CdInBr3
_chemical_formula_sum 'Cd4 In4 Br12'
_space_group_name_H-M_alt 'P n m a'
_space_group_IT_number 62
_cell_length_a 9.6009
_cell_length_b 4.1991
_cell_length_c 15.6811
_cell_angle_alpha 90.00
_cell_angle_beta 90.00
_cell_angle_gamma 90.00
loop_
_space_group_symop_operation_xyz
'x,y,z'
'-x,-y,-z'
'-x+1/2,-y,z+1/2'
'x+1/2,y,-z+1/2'
'x+1/2,-y+1/2,-z+1/2'
'-x+1/2,y+1/2,z+1/2'
'-x,y+1/2,-z'
'x,-y+1/2,z'
loop_
_atom_site_label
_atom_site_type_symbol
_atom_site_fract_x
_atom_site_fract_y
_atom_site_fract_z
_atom_site_occupancy
Cd1 Cd 0.1671 0.2500 0.0563 1
In1 In 0.0585 0.7500 0.3223 1
Br1 Br 0.0225 0.2500 0.8964 1
Br2 Br 0.1659 0.2500 0.4943 1
Br3 Br 0.2121 0.7500 0.7133 1
```

Main lines, by angle (10 to 80 degrees two-theta):
h k l  2θ (°)  I (rel.)
2 1 1  28.8  100
2 0 4  29.4  25
1 0 5  30.0  40
2 1 2  30.5  77
0 1 5  35.7  30
3 1 4  42.3  31
0 2 0  43.1  30
1 1 7  46.9  31